[1]
This entry pairs a crystal structure of Ce2Nd2Ge4Pt with its theoretical powder XRD pattern. Radiation: copper Kα. Structure: a crystal structure in Alexandria, relaxed with GGA-PBE.
Intensities are scaled so that the largest is 100.

Crystal structure
```
9
Lattice="-3.6491 3.6491 4.1680 3.6491 -3.6491 4.1680 3.6491 3.6491 -4.1680" Properties=species:S:1:pos:R:3 pbc="T T T"
Ce 0.0000 0.0000 1.3693
Ce 0.0000 0.0000 6.9668
Nd 3.6491 0.0000 2.0840
Nd 0.0000 3.6491 2.0840
Ge 1.8812 1.8812 0.0000
Ge 1.7679 -1.7679 4.1680
Ge -1.7679 1.7679 4.1680
Ge 1.7679 1.7679 4.1680
Pt 0.0000 0.0000 4.1680
```

Most intense lines, 2θ = 5–70°, low angle first:
2θ/deg  I/Imax
24.39  46
27.51  40
32.61  60
34.54  43
34.77  100
42.74  42
44.89  21
49.99  35
56.22  24
60.97  19

[2]
This entry pairs a crystal structure of Th3Zn2Cu3 with its theoretical powder XRD pattern. Radiation: copper Kα. Structure: a crystal structure in Alexandria, relaxed with GGA-PBE.
Intensities are scaled so that the largest is 100.

Crystal structure
```
32
Lattice="8.1212 0.0000 0.0000 0.0000 14.2147 0.0000 0.0000 0.0000 5.8505" Properties=species:S:1:pos:R:3 pbc="T T T"
Th 0.3639 1.5563 0.8199
Th 0.3639 5.5510 0.8199
Th 1.5406 3.5537 3.6586
Th 2.5200 10.6610 0.7334
Th 3.6967 8.6637 3.7451
Th 3.6967 12.6583 3.7451
Th 4.4245 1.5563 2.1054
Th 4.4245 5.5510 2.1054
Th 5.6012 3.5537 5.1171
Th 6.5806 10.6610 2.1919
Th 7.7573 8.6637 5.0306
Th 7.7573 12.6583 5.0306
Zn 0.8072 8.5160 2.1558
Zn 0.8072 12.8060 2.1558
Zn 3.2534 1.4087 5.0810
Zn 3.2534 5.6986 5.0810
Zn 4.8678 8.5160 0.7695
Zn 4.8678 12.8060 0.7695
Zn 7.3140 1.4087 3.6947
Zn 7.3140 5.6986 3.6947
Cu 1.3726 10.6610 3.5719
Cu 1.5502 0.5397 3.5436
Cu 1.5502 6.5676 3.5436
Cu 2.5104 7.6470 0.6184
Cu 2.5104 13.6750 0.6184
Cu 2.6880 3.5537 0.6467
Cu 5.4332 10.6610 5.2038
Cu 5.6108 0.5397 5.2321
Cu 5.6108 6.5676 5.2321
Cu 6.5710 7.6470 2.3069
Cu 6.5710 13.6750 2.3069
Cu 6.7486 3.5537 2.2786
```

Most intense lines, 2θ = 5–70°, low angle first:
2θ/deg  I/Imax
27.46  59
31.45  50
32.53  49
33.16  78
33.51  100
36.58  50
36.96  69
37.80  76
37.98  37
47.40  44

[3]
This entry pairs a crystal structure of Cs2CePtO4 with its theoretical powder XRD pattern. Radiation: copper Kα. Structure: a crystal structure in Alexandria, relaxed with GGA-PBE.
Intensities are scaled so that the largest is 100.

Crystal structure
```
16
Lattice="0.0000 7.3488 11.7618 3.0307 0.0000 11.7618 3.0307 7.3488 0.0000" Properties=species:S:1:pos:R:3 pbc="T T T"
Cs 2.2730 5.5116 1.3254
Cs 3.7884 9.1859 7.2063
Cs 2.2730 5.5116 16.3173
Cs 3.7884 9.1859 22.1982
Ce 0.7577 1.8372 2.9404
Ce 5.3038 12.8603 20.5831
Pt 2.2730 5.5116 8.8213
Pt 3.7884 9.1859 14.7022
O 3.7354 4.0641 8.7637
O 3.7354 6.9590 8.8789
O 5.2508 7.7385 14.7598
O 5.2508 10.6334 14.6446
O 0.8106 4.0641 8.8789
O 0.8106 6.9590 8.7637
O 2.3260 7.7385 14.6446
O 2.3260 10.6334 14.7598
```

Most intense lines, 2θ = 5–70°, low angle first:
2θ/deg  I/Imax
14.21  41
15.07  71
19.47  54
24.22  50
25.75  100
26.00  27
31.94  56
37.51  28
45.15  48
47.74  23

[4]
This entry pairs a crystal structure of La6CoPdRh2 with its theoretical powder XRD pattern. Radiation: copper Kα. Structure: a crystal structure in Alexandria, relaxed with GGA-PBE.
Intensities are scaled so that the largest is 100.

Crystal structure
```
10
Lattice="7.1541 0.0000 0.0000 3.5746 6.2072 0.0000 3.5724 2.0677 6.6209" Properties=species:S:1:pos:R:3 pbc="T T T"
La 0.0000 0.0000 0.0000
La 5.7695 6.1557 3.4114
La 3.3388 2.1012 0.0016
La 5.8598 2.0652 3.4071
La 10.5773 6.0163 6.6182
La 9.4281 4.0323 3.4094
Co 4.6360 4.0841 4.8940
Pd 8.2127 6.1530 1.6120
Rh 4.6369 4.0871 1.7435
Rh 8.2116 2.0142 5.1679
```

Most intense lines, 2θ = 5–70°, low angle first:
2θ/deg  I/Imax
16.86  14
26.93  7
28.34  100
36.98  60
43.79  43
48.45  22
52.99  17
55.52  7
58.60  10
67.35  8

[5]
This entry pairs a crystal structure of Li12TlZn2 with its theoretical powder XRD pattern. Radiation: copper Kα. Structure: a crystal structure in Alexandria, relaxed with GGA-PBE.
Intensities are scaled so that the largest is 100.

Crystal structure
```
30
Lattice="5.3184 0.0000 0.0000 0.0000 5.3184 0.0000 0.0000 0.0000 21.8000" Properties=species:S:1:pos:R:3 pbc="T T T"
Li 5.3181 0.0002 2.2691
Li 0.0002 5.3181 19.5310
Li 0.0002 2.6594 2.2691
Li 5.3181 2.6590 19.5310
Li 0.3366 2.9958 9.6151
Li 0.3366 4.9818 12.1849
Li 1.3296 1.3296 4.4946
Li 1.3296 1.3296 7.1725
Li 1.3296 1.3296 14.6275
Li 1.3296 1.3296 17.3055
Li 2.3226 2.9958 12.1849
Li 2.3226 4.9818 9.6151
Li 2.6590 5.3181 2.2691
Li 2.6594 0.0002 19.5310
Li 2.6594 2.6590 2.2691
Li 2.6590 2.6594 19.5310
Li 2.9958 0.3366 12.1849
Li 2.9958 2.3226 9.6151
Li 3.9888 3.9888 4.4946
Li 3.9888 3.9888 7.1725
Li 3.9888 3.9888 14.6275
Li 3.9888 3.9888 17.3055
Li 4.9818 0.3366 9.6151
Li 4.9818 2.3226 12.1849
Tl 1.3296 3.9888 0.0000
Tl 3.9888 1.3296 0.0000
Zn 1.3296 3.9888 4.4924
Zn 1.3296 3.9888 17.3076
Zn 3.9888 1.3296 4.4924
Zn 3.9888 1.3296 17.3076
```

Most intense lines, 2θ = 5–70°, low angle first:
2θ/deg  I/Imax
16.26  65
20.37  69
23.66  94
24.01  97
28.84  76
31.41  100
33.70  39
33.96  39
37.64  43
39.70  61

[6]
This entry pairs a crystal structure of HoEr5Bi4 with its theoretical powder XRD pattern. Radiation: copper Kα. Structure: a crystal structure in Alexandria, relaxed with GGA-PBE.
Intensities are scaled so that the largest is 100.

Crystal structure
```
10
Lattice="9.8700 -2.1821 0.0000 9.8700 2.1821 0.0000 -1.4968 0.0000 7.4947" Properties=species:S:1:pos:R:3 pbc="T T T"
Ho 0.0000 0.0000 0.0000
Er -0.7484 0.0000 3.7474
Er 5.4114 0.0000 2.9017
Er 4.7770 0.0000 6.8484
Er 13.4661 0.0000 0.6463
Er 12.8317 0.0000 4.5930
Bi 2.1620 0.0000 2.4362
Bi 8.3082 0.0000 1.6553
Bi 9.9350 0.0000 5.8394
Bi 16.0812 0.0000 5.0585
```

Most intense lines, 2θ = 5–70°, low angle first:
2θ/deg  I/Imax
24.49  36
26.17  32
32.49  100
32.93  62
36.35  23
38.54  51
41.38  35
47.59  21
53.86  31
64.86  17

[7]
This entry pairs a crystal structure of Ba2SmGaSe5 with its theoretical powder XRD pattern. Radiation: copper Kα. Structure: a crystal structure in Alexandria, relaxed with GGA-PBE.
Intensities are scaled so that the largest is 100.

Crystal structure
```
18
Lattice="7.4430 0.0000 0.0000 -2.6778 8.4574 0.0000 -2.1734 -3.0709 8.8498" Properties=species:S:1:pos:R:3 pbc="T T T"
Ba -0.9241 3.1492 2.5908
Ba -2.1107 7.4625 2.5997
Ba 4.7024 -2.0760 6.2502
Ba 3.5159 2.2373 6.2590
Sm 0.9160 -1.1110 8.8248
Sm 1.6758 6.4975 0.0250
Ga -0.2012 1.0369 6.0839
Ga 2.7930 4.3496 2.7659
Se -3.0763 4.8583 4.4883
Se -2.9838 4.7868 8.3637
Se -1.5420 0.6043 8.1601
Se 0.3903 3.3977 6.0780
Se 1.6696 -0.5245 6.0340
Se 0.9221 5.9110 2.8158
Se 2.2015 1.9888 2.7718
Se 4.1337 4.7822 0.6897
Se 5.5756 0.5997 0.4862
Se 5.6681 0.5282 4.3615
```

Most intense lines, 2θ = 5–70°, low angle first:
2θ/deg  I/Imax
27.53  74
27.67  72
28.91  100
29.78  65
30.01  65
30.30  56
33.53  42
34.56  38
40.49  46
40.68  65

[8]
This entry pairs a crystal structure of La5TbNd5 with its theoretical powder XRD pattern. Radiation: copper Kα. Structure: a crystal structure in Alexandria, relaxed with GGA-PBE.
Intensities are scaled so that the largest is 100.

Crystal structure
```
11
Lattice="6.3335 0.0000 0.0000 -3.1667 5.4850 0.0000 0.0000 0.0000 11.6979" Properties=species:S:1:pos:R:3 pbc="T T T"
La 0.0000 0.0000 0.0000
La 0.0000 3.6566 3.7273
La 0.0000 3.6566 7.9707
La 3.1667 1.8283 1.7849
La 3.1667 1.8283 9.9130
Tb 0.0000 3.6566 0.0000
Nd 0.0000 0.0000 3.0813
Nd 0.0000 0.0000 8.6166
Nd 1.6070 0.9278 5.8490
Nd 4.7265 0.9278 5.8490
Nd 3.1667 3.6294 5.8490
```

Most intense lines, 2θ = 5–70°, low angle first:
2θ/deg  I/Imax
28.08  100
28.18  92
29.22  36
33.56  33
34.76  32
36.18  28
36.55  25
45.33  25
49.84  58
58.27  30